No. 1
Starting from a structure optimized by DFT (GGA+U), the powder diffractogram of NbNi2SnO6 was simulated for Cu Kα (λ = 1.5418 Å).
Kinematic intensities with the Lorentz-polarization factor, no thermal factor.

Structural model:
Cell: 5.8417 5.8417 3.9978 Å, 90.00 90.00 90.00°
Space group P4mm (No. 99)
One atom of each set of equivalent atoms:
Nb  0.0000  0.0000  0.0000 [1 per cell]
Ni  0.0000  0.5000  0.1708 [2 per cell]
Sn  0.5000  0.5000  0.0285 [1 per cell]
O  0.0000  0.0000  0.5491 [1 per cell]
O  0.2440  0.2440  0.0739 [4 per cell]
O  0.5000  0.5000  0.5366 [1 per cell]

Principal peaks in the range 2θ = 10–90°, by angle:
hkl 1 1 0, 21.5°, I = 26
hkl 0 0 1, 22.2°, I = 100
hkl 2 0 0, 30.6°, I = 73
hkl 1 1 1, 31.1°, I = 35
hkl 2 0 1, 38.2°, I = 37
hkl 2 2 0, 43.8°, I = 53
hkl 2 2 1, 49.7°, I = 43
hkl 1 1 2, 50.7°, I = 34
hkl 4 0 1, 68.4°, I = 16
hkl 3 1 2, 69.3°, I = 26

No. 2
Starting from a structure optimized by DFT (GGA+U), the powder diffractogram of VCd6O8 was simulated for Cu Kα (λ = 1.5418 Å).
Kinematic intensities with the Lorentz-polarization factor, no thermal factor.

Structural model:
Cell: 9.4479 9.4479 9.4479 Å, 90.00 90.00 90.00°
Space group Fm-3m (No. 225)
One atom of each set of equivalent atoms:
V  0.0000  0.0000  0.0000 [4 per cell]
Cd  0.0000  0.2500  0.2500 [24 per cell]
O  0.0000  0.0000  0.2101 [24 per cell]
O  0.2500  0.2500  0.2500 [8 per cell]

Principal peaks in the range 2θ = 10–90°, by angle:
hkl 1 1 1, 16.2°, I = 10
hkl 2 0 0, 18.8°, I = 24
hkl 2 2 0, 26.7°, I = 20
hkl 2 2 2, 32.8°, I = 100
hkl 4 0 0, 38.1°, I = 95
hkl 4 2 0, 42.8°, I = 14
hkl 4 2 2, 47.1°, I = 10
hkl 4 4 0, 55.0°, I = 59
hkl 6 2 2, 65.5°, I = 44
hkl 4 4 4, 68.8°, I = 18